[1]
Diffraction record for NaYAg2F6. The X-ray diffraction stick pattern is computed, not measured: it uses a crystal structure in Alexandria, relaxed with GGA-PBE and CuKα.

Principal peaks in the range 2θ = 15–90°, sorted by position:
- 18.10 deg, rel. 30.2
- 28.71 deg, rel. 46.8
- 29.29 deg, rel. 100.0
- 29.35 deg, rel. 45.6
- 29.46 deg, rel. 43.7
- 42.05 deg, rel. 51.4

Cell and atoms:
```
10
Lattice="5.9841 0.0000 0.0000 2.9486 5.3012 0.0000 2.9864 1.6577 5.0399" Properties=species:S:1:pos:R:3 pbc="T T T"
Na 0.0000 0.0000 0.0000
Y 5.9595 3.4795 2.5200
Ag 2.8177 1.7104 1.1622
Ag 9.1014 5.2485 3.8777
F 4.4298 3.1501 4.0686
F 4.6042 4.9281 1.5705
F 6.7902 5.1166 3.7400
F 5.1289 1.8423 1.2999
F 7.3149 2.0308 3.4694
F 7.4893 3.8089 0.9713
```

=====

[2]
Diffraction record for NdAg2F6. The X-ray diffraction stick pattern is computed, not measured: it uses a crystal structure in Alexandria, relaxed with GGA-PBE and CuKα.

Principal peaks in the range 2θ = 15–90°, sorted by position:
- 21.18 deg, rel. 62.5
- 28.26 deg, rel. 100.0
- 28.40 deg, rel. 40.9
- 40.60 deg, rel. 44.2
- 42.31 deg, rel. 32.4
- 46.52 deg, rel. 43.1

Cell and atoms:
```
9
Lattice="6.3080 -2.1363 0.0000 6.3080 2.1363 0.0000 -0.4398 0.0000 5.2250" Properties=species:S:1:pos:R:3 pbc="T T T"
Nd 0.0000 0.0000 0.0000
Ag 3.0892 0.0000 3.6281
Ag 9.0871 0.0000 1.5969
F 0.9823 0.0000 3.3679
F 2.3134 0.0000 0.7364
F 5.2033 0.0000 4.1761
F 6.9731 0.0000 1.0489
F 9.8629 0.0000 4.4886
F 11.1941 0.0000 1.8571
```

=====

[3]
Diffraction record for NdZnAgF6. The X-ray diffraction stick pattern is computed, not measured: it uses a crystal structure in Alexandria, relaxed with GGA-PBE and CuKα.

Principal peaks in the range 2θ = 15–90°, sorted by position:
- 23.78 deg, rel. 100.0
- 30.58 deg, rel. 77.0
- 33.88 deg, rel. 19.0
- 46.28 deg, rel. 69.4
- 48.67 deg, rel. 19.0
- 58.58 deg, rel. 21.8

Cell and atoms:
```
18
Lattice="5.2915 0.0000 0.0000 0.0000 5.2915 0.0000 0.0000 0.0000 10.5207" Properties=species:S:1:pos:R:3 pbc="T T T"
Nd 0.0000 0.0000 0.0000
Nd 2.6458 2.6458 5.2603
Zn 0.0000 0.0000 6.9644
Zn 2.6458 2.6458 1.7041
Ag 0.0000 0.0000 3.4493
Ag 2.6458 2.6458 8.7096
F 0.9345 0.9345 8.6022
F 1.0326 1.0326 5.4884
F 1.1979 1.1979 1.5484
F 1.4479 3.8437 6.8088
F 1.6132 3.6783 0.2280
F 1.7112 3.5803 3.3419
F 3.5803 1.7112 3.3419
F 3.6783 1.6132 0.2280
F 3.8437 1.4479 6.8088
F 4.0936 4.0936 1.5484
F 4.2589 4.2589 5.4884
F 4.3570 4.3570 8.6022
```